Record 1
# CaNpO3
Calculated PXRD pattern, Cu Kα, 1.54184 Å. Input: DFT lattice parameters and positions (GGA-PBE).
No peak broadening, texture or thermal motion is included.

```
data_CaNpO3
_chemical_formula_sum 'Ca1 Np1 O3'
_cell_length_a 6.0319
_cell_length_b 6.0319
_cell_length_c 3.1081
_cell_angle_alpha 90.00
_cell_angle_beta 90.00
_cell_angle_gamma 120.00
_symmetry_space_group_name_H-M 'P -6 m 2'
_symmetry_Int_Tables_number 187
_symmetry_space_group_name_Hall 'P -6 2'
loop_
_atom_site_label
_atom_site_type_symbol
_atom_site_fract_x
_atom_site_fract_y
_atom_site_fract_z
Ca1 Ca 0.0000 0.0000 0.0000
Np1 Np 0.6667 0.3333 0.0000
O1 O 0.3517 0.1758 0.5000
```

Top 6 peaks for 10 to 80 degrees two-theta, in order of falling intensity:
- (1 0 0), 16.97°, I = 100
- (1 1 1), 41.73°, I = 34
- (1 1 0), 29.62°, I = 34
- (1 0 1), 33.55°, I = 30
- (2 0 1), 45.35°, I = 20
- (2 1 1), 55.11°, I = 17

Record 2
# CaPr2NpO8
Calculated PXRD pattern, Cu Kα, 1.54184 Å. Input: DFT lattice parameters and positions (GGA-PBE).
No peak broadening, texture or thermal motion is included.

```
data_CaPr2NpO8
_chemical_formula_sum 'Ca1 Pr2 Np1 O8'
_cell_length_a 4.090
_cell_length_b 7.777
_cell_length_c 5.427
_cell_angle_alpha 90.00
_cell_angle_beta 94.96
_cell_angle_gamma 90.00
_symmetry_space_group_name_H-M 'P 1 2/m 1'
_symmetry_Int_Tables_number 10
loop_
_symmetry_equiv_pos_as_xyz
'x,y,z'
'-x,-y,-z'
'-x,y,-z'
'x,-y,z'
loop_
_atom_site_label
_atom_site_type_symbol
_atom_site_fract_x
_atom_site_fract_y
_atom_site_fract_z
Ca1 Ca 0.000 0.000 0.000
Pr1 Pr 0.500 0.253 0.500
Np1 Np 0.000 0.500 0.000
O1 O 0.036 0.292 0.766
O2 O 0.443 0.500 0.219
O3 O 0.499 0.000 0.250
```

Top 6 peaks for 10 to 80 degrees two-theta, in order of falling intensity:
- (0 2 1), 28.27°, I = 100
- (1 0 -1), 26.22°, I = 60
- (0 1 0), 11.38°, I = 55
- (1 0 1), 28.55°, I = 49
- (1 2 0), 31.81°, I = 44
- (1 2 -2), 45.10°, I = 41

Record 3
# CaPuNpO6
Calculated PXRD pattern, Cu Kα, 1.54184 Å. Input: DFT lattice parameters and positions (GGA-PBE).
No peak broadening, texture or thermal motion is included.

```
data_CaPuNpO6
_chemical_formula_sum 'Ca2 Pu2 Np2 O12'
_cell_length_a 5.6983
_cell_length_b 5.6983
_cell_length_c 9.3970
_cell_angle_alpha 90.00
_cell_angle_beta 90.00
_cell_angle_gamma 120.00
_symmetry_space_group_name_H-M 'P -3 1 c'
_symmetry_Int_Tables_number 163
_symmetry_space_group_name_Hall '-P 3 2c'
loop_
_atom_site_label
_atom_site_type_symbol
_atom_site_fract_x
_atom_site_fract_y
_atom_site_fract_z
Ca1 Ca 0.3333 0.6667 0.2500
Pu1 Pu 0.0000 0.0000 0.0000
Np1 Np 0.3333 0.6667 0.7500
O1 O 0.0363 0.3481 0.6290
```

Top 6 peaks for 10 to 80 degrees two-theta, in order of falling intensity:
- (1 0 2), 26.19°, I = 100
- (1 1 0), 31.40°, I = 48
- (1 0 1), 20.33°, I = 39
- (1 1 4), 50.34°, I = 38
- (2 0 2), 41.33°, I = 30
- (3 -1 2), 52.81°, I = 30

Record 4
# CaNpSc2O8
Calculated PXRD pattern, Cu Kα, 1.54184 Å. Input: DFT lattice parameters and positions (GGA-PBE).
No peak broadening, texture or thermal motion is included.

```
data_CaNpSc2O8
_chemical_formula_sum 'Ca1 Np1 Sc2 O8'
_cell_length_a 4.912
_cell_length_b 6.846
_cell_length_c 4.915
_cell_angle_alpha 90.00
_cell_angle_beta 90.08
_cell_angle_gamma 90.00
_symmetry_space_group_name_H-M 'P 1 2/m 1'
_symmetry_Int_Tables_number 10
loop_
_symmetry_equiv_pos_as_xyz
'x,y,z'
'-x,-y,-z'
'-x,y,-z'
'x,-y,z'
loop_
_atom_site_label
_atom_site_type_symbol
_atom_site_fract_x
_atom_site_fract_y
_atom_site_fract_z
Ca1 Ca 0.000 0.000 0.000
Np1 Np 0.000 0.500 0.000
Sc1 Sc 0.500 0.258 0.500
O1 O 0.193 0.283 0.809
O2 O 0.299 0.500 0.301
O3 O 0.338 0.000 0.342
```

Top 6 peaks for 10 to 80 degrees two-theta, in order of falling intensity:
- (1 0 1), 25.64°, I = 100
- (1 2 0), 31.86°, I = 74
- (0 1 1), 22.27°, I = 70
- (2 2 1), 49.28°, I = 68
- (0 1 0), 12.93°, I = 65
- (1 0 0), 18.05°, I = 46

Record 5
# CaNpSiO5
Calculated PXRD pattern, Cu Kα, 1.54184 Å. Input: DFT lattice parameters and positions (GGA-PBE).
No peak broadening, texture or thermal motion is included.

```
data_CaNpSiO5
_chemical_formula_sum 'Ca4 Np4 Si4 O20'
_cell_length_a 6.885
_cell_length_b 9.262
_cell_length_c 7.679
_cell_angle_alpha 90.00
_cell_angle_beta 110.73
_cell_angle_gamma 90.00
_symmetry_space_group_name_H-M 'C 1 2/c 1'
_symmetry_Int_Tables_number 15
loop_
_symmetry_equiv_pos_as_xyz
'x,y,z'
'-x,-y,-z'
'-x,y,-z+1/2'
'x,-y,z+1/2'
'x+1/2,y+1/2,z'
'-x+1/2,-y+1/2,-z'
'-x+1/2,y+1/2,-z+1/2'
'x+1/2,-y+1/2,z+1/2'
loop_
_atom_site_label
_atom_site_type_symbol
_atom_site_fract_x
_atom_site_fract_y
_atom_site_fract_z
Ca1 Ca 0.000 0.156 0.250
Np1 Np 0.000 0.500 0.000
Si1 Si 0.000 0.179 0.750
O1 O 0.000 0.402 0.250
O2 O 0.122 0.284 0.646
O3 O 0.159 0.067 0.904
```

Top 6 peaks for 10 to 80 degrees two-theta, in order of falling intensity:
- (1 1 0), 16.77°, I = 100
- (1 1 -2), 25.62°, I = 76
- (0 2 2), 31.53°, I = 45
- (1 3 0), 32.15°, I = 43
- (2 0 0), 27.71°, I = 39
- (0 2 0), 19.16°, I = 36

Record 6
# CaNpTi2O8
Calculated PXRD pattern, Cu Kα, 1.54184 Å. Input: DFT lattice parameters and positions (GGA-PBE).
No peak broadening, texture or thermal motion is included.

```
data_CaNpTi2O8
_chemical_formula_sum 'Ca2 Np2 Ti4 O16'
_cell_length_a 7.422
_cell_length_b 6.446
_cell_length_c 7.004
_cell_angle_alpha 90.00
_cell_angle_beta 97.82
_cell_angle_gamma 90.00
_symmetry_space_group_name_H-M 'C 1 2/m 1'
_symmetry_Int_Tables_number 12
loop_
_symmetry_equiv_pos_as_xyz
'x,y,z'
'-x,-y,-z'
'-x,y,-z'
'x,-y,z'
'x+1/2,y+1/2,z'
'-x+1/2,-y+1/2,-z'
'-x+1/2,y+1/2,-z'
'x+1/2,-y+1/2,z'
loop_
_atom_site_label
_atom_site_type_symbol
_atom_site_fract_x
_atom_site_fract_y
_atom_site_fract_z
Ca1 Ca 0.000 0.000 0.000
Np1 Np 0.000 0.000 0.500
Ti1 Ti 0.048 0.500 0.208
O1 O 0.003 0.221 0.270
O2 O 0.171 0.500 0.002
O3 O 0.236 0.500 0.445
```

Top 6 peaks for 10 to 80 degrees two-theta, in order of falling intensity:
- (1 1 -1), 21.40°, I = 100
- (2 0 0), 24.21°, I = 72
- (1 1 -2), 30.31°, I = 64
- (0 0 1), 12.76°, I = 59
- (1 1 0), 18.30°, I = 58
- (0 2 0), 27.68°, I = 53

Record 7
# CaNp2ZnO8
Calculated PXRD pattern, Cu Kα, 1.54184 Å. Input: DFT lattice parameters and positions (GGA-PBE).
No peak broadening, texture or thermal motion is included.

```
data_CaNp2ZnO8
_chemical_formula_sum 'Ca2 Np4 Zn2 O16'
_cell_length_a 6.756
_cell_length_b 7.115
_cell_length_c 6.943
_cell_angle_alpha 90.00
_cell_angle_beta 90.00
_cell_angle_gamma 90.00
_symmetry_space_group_name_H-M 'C m m m'
_symmetry_Int_Tables_number 65
_symmetry_space_group_name_Hall '-C 2 2'
loop_
_atom_site_label
_atom_site_type_symbol
_atom_site_fract_x
_atom_site_fract_y
_atom_site_fract_z
Ca1 Ca 0.000 0.000 0.000
Np1 Np 0.000 0.500 0.255
Zn1 Zn 0.000 0.000 0.500
O1 O 0.000 0.316 0.500
O2 O 0.000 0.324 0.000
O3 O 0.211 0.000 0.269
```

Top 6 peaks for 10 to 80 degrees two-theta, in order of falling intensity:
- (1 1 2), 31.59°, I = 100
- (1 1 0), 18.11°, I = 86
- (0 2 0), 25.03°, I = 58
- (2 0 0), 26.38°, I = 48
- (1 3 2), 48.39°, I = 42
- (3 1 2), 49.94°, I = 35

Record 8
# CaNp5P6
Calculated PXRD pattern, Cu Kα, 1.54184 Å. Input: DFT lattice parameters and positions (GGA-PBE).
No peak broadening, texture or thermal motion is included.

```
data_CaNp5P6
_chemical_formula_sum 'Ca2 Np10 P12'
_cell_length_a 6.897
_cell_length_b 11.945
_cell_length_c 6.914
_cell_angle_alpha 90.00
_cell_angle_beta 109.41
_cell_angle_gamma 90.00
_symmetry_space_group_name_H-M 'C 1 2/m 1'
_symmetry_Int_Tables_number 12
loop_
_symmetry_equiv_pos_as_xyz
'x,y,z'
'-x,-y,-z'
'-x,y,-z'
'x,-y,z'
'x+1/2,y+1/2,z'
'-x+1/2,-y+1/2,-z'
'-x+1/2,y+1/2,-z'
'x+1/2,-y+1/2,z'
loop_
_atom_site_label
_atom_site_type_symbol
_atom_site_fract_x
_atom_site_fract_y
_atom_site_fract_z
Ca1 Ca 0.000 0.000 0.000
Np1 Np 0.000 0.163 0.500
Np2 Np 0.000 0.332 0.000
Np3 Np 0.000 0.500 0.500
P1 P 0.240 0.500 0.252
P2 P 0.242 0.328 0.744
```

Top 6 peaks for 10 to 80 degrees two-theta, in order of falling intensity:
- (2 0 0), 27.41°, I = 100
- (2 0 -2), 31.75°, I = 98
- (2 0 2), 45.52°, I = 73
- (3 3 1), 53.95°, I = 29
- (4 0 0), 56.60°, I = 19
- (3 3 -5), 75.35°, I = 17

Record 9
# Rb3CaNp3S8
Calculated PXRD pattern, Cu Kα, 1.54184 Å. Input: DFT lattice parameters and positions (GGA-PBE).
No peak broadening, texture or thermal motion is included.

```
data_Rb3CaNp3S8
_chemical_formula_sum 'Rb3 Ca1 Np3 S8'
_cell_length_a 6.956
_cell_length_b 7.010
_cell_length_c 7.996
_cell_angle_alpha 90.00
_cell_angle_beta 90.00
_cell_angle_gamma 90.00
_symmetry_space_group_name_H-M 'P m m m'
_symmetry_Int_Tables_number 47
loop_
_symmetry_equiv_pos_as_xyz
'x,y,z'
'-x,-y,-z'
'-x,-y,z'
'x,y,-z'
'x,-y,-z'
'-x,y,z'
'-x,y,-z'
'x,-y,z'
loop_
_atom_site_label
_atom_site_type_symbol
_atom_site_fract_x
_atom_site_fract_y
_atom_site_fract_z
Rb1 Rb 0.000 0.000 0.000
Rb2 Rb 0.000 0.500 0.000
Rb3 Rb 0.500 0.000 0.000
Ca1 Ca 0.500 0.500 0.500
Np1 Np 0.000 0.000 0.500
Np2 Np 0.000 0.500 0.500
Np3 Np 0.500 0.000 0.500
S1 S 0.243 0.243 0.309
```

Top 6 peaks for 10 to 80 degrees two-theta, in order of falling intensity:
- (0 0 1), 11.07°, I = 100
- (2 2 0), 36.40°, I = 64
- (0 2 2), 34.02°, I = 62
- (2 0 2), 34.17°, I = 61
- (0 0 2), 22.24°, I = 39
- (0 1 0), 12.68°, I = 37

Record 10
# Rb3Ca2NpSe6
Calculated PXRD pattern, Cu Kα, 1.54184 Å. Input: DFT lattice parameters and positions (GGA-PBE).
No peak broadening, texture or thermal motion is included.

```
data_Rb3Ca2NpSe6
_chemical_formula_sum 'Rb6 Ca4 Np2 Se12'
_cell_length_a 7.461
_cell_length_b 12.918
_cell_length_c 8.329
_cell_angle_alpha 90.00
_cell_angle_beta 107.37
_cell_angle_gamma 90.00
_symmetry_space_group_name_H-M 'C 1 2/m 1'
_symmetry_Int_Tables_number 12
loop_
_symmetry_equiv_pos_as_xyz
'x,y,z'
'-x,-y,-z'
'-x,y,-z'
'x,-y,z'
'x+1/2,y+1/2,z'
'-x+1/2,-y+1/2,-z'
'-x+1/2,y+1/2,-z'
'x+1/2,-y+1/2,z'
loop_
_atom_site_label
_atom_site_type_symbol
_atom_site_fract_x
_atom_site_fract_y
_atom_site_fract_z
Rb1 Rb 0.000 0.000 0.000
Rb2 Rb 0.000 0.328 0.000
Ca1 Ca 0.000 0.166 0.500
Np1 Np 0.000 0.500 0.500
Se1 Se 0.221 0.344 0.695
Se2 Se 0.245 0.500 0.304
```

Top 6 peaks for 10 to 80 degrees two-theta, in order of falling intensity:
- (1 3 1), 28.22°, I = 100
- (3 3 -1), 41.95°, I = 36
- (1 3 -3), 38.67°, I = 21
- (4 0 0), 51.33°, I = 18
- (1 1 0), 14.20°, I = 15
- (4 6 0), 68.38°, I = 14

Record 11
# Ca3NpRh8
Calculated PXRD pattern, Cu Kα, 1.54184 Å. Input: DFT lattice parameters and positions (GGA-PBE).
No peak broadening, texture or thermal motion is included.

```
data_Ca3NpRh8
_chemical_formula_sum 'Ca9 Np3 Rh24'
_cell_length_a 5.3391
_cell_length_b 5.3391
_cell_length_c 26.2034
_cell_angle_alpha 90.00
_cell_angle_beta 90.00
_cell_angle_gamma 120.00
_symmetry_space_group_name_H-M 'R 3 m'
_symmetry_Int_Tables_number 160
_symmetry_space_group_name_Hall 'R 3 -2"'
loop_
_atom_site_label
_atom_site_type_symbol
_atom_site_fract_x
_atom_site_fract_y
_atom_site_fract_z
Ca1 Ca 0.0000 0.0000 0.0000
Ca2 Ca 0.0000 0.0000 0.1234
Ca3 Ca 0.0000 0.0000 0.6280
Np1 Np 0.0000 0.0000 0.5010
Rh1 Rh 0.0000 0.0000 0.3134
Rh2 Rh 0.0000 0.0000 0.8132
Rh3 Rh 0.0038 0.5019 0.0653
Rh4 Rh 0.1688 0.3376 0.8947
```

Top 6 peaks for 10 to 80 degrees two-theta, in order of falling intensity:
- (2 0 2), 39.56°, I = 100
- (0 2 4), 41.40°, I = 46
- (2 2 0), 70.51°, I = 27
- (1 1 0), 33.55°, I = 21
- (2 1 10), 64.02°, I = 19
- (0 1 2), 20.36°, I = 18

Record 12
# CaNp3S6
Calculated PXRD pattern, Cu Kα, 1.54184 Å. Input: DFT lattice parameters and positions (GGA-PBE).
No peak broadening, texture or thermal motion is included.

```
data_CaNp3S6
_chemical_formula_sum 'Ca3 Np9 S18'
_cell_length_a 7.0216
_cell_length_b 7.0216
_cell_length_c 18.6302
_cell_angle_alpha 90.00
_cell_angle_beta 90.00
_cell_angle_gamma 120.00
_symmetry_space_group_name_H-M 'R 3'
_symmetry_Int_Tables_number 146
_symmetry_space_group_name_Hall 'R 3'
loop_
_atom_site_label
_atom_site_type_symbol
_atom_site_fract_x
_atom_site_fract_y
_atom_site_fract_z
Ca1 Ca 0.0000 0.0000 0.0000
Np1 Np 0.0000 0.0000 0.2042
Np2 Np 0.0000 0.0000 0.5070
Np3 Np 0.0000 0.0000 0.7079
S1 S 0.0321 0.6682 0.7753
S2 S 0.0513 0.3657 0.2741
```

Top 6 peaks for 10 to 80 degrees two-theta, in order of falling intensity:
- (1 1 0), 25.37°, I = 100
- (1 0 4), 24.07°, I = 93
- (2 -1 6), 38.71°, I = 80
- (0 1 2), 17.42°, I = 59
- (3 -1 4), 43.93°, I = 46
- (0 2 4), 35.25°, I = 45

Record 13
# CaOs3O9
Calculated PXRD pattern, Cu Kα, 1.54184 Å. Input: DFT lattice parameters and positions (GGA-PBE).
No peak broadening, texture or thermal motion is included.

```
data_CaOs3O9
_chemical_formula_sum 'Ca2 Os6 O18'
_cell_length_a 5.349
_cell_length_b 7.435
_cell_length_c 8.172
_cell_angle_alpha 90.00
_cell_angle_beta 93.58
_cell_angle_gamma 90.00
_symmetry_space_group_name_H-M 'P 1 21/m 1'
_symmetry_Int_Tables_number 11
loop_
_symmetry_equiv_pos_as_xyz
'x,y,z'
'-x,-y,-z'
'-x,y+1/2,-z'
'x,-y+1/2,z'
loop_
_atom_site_label
_atom_site_type_symbol
_atom_site_fract_x
_atom_site_fract_y
_atom_site_fract_z
Ca1 Ca 0.027 0.250 0.427
Os1 Os 0.000 0.000 0.000
Os2 Os 0.464 0.003 0.693
O1 O 0.058 0.250 0.978
O2 O 0.155 0.558 0.789
O3 O 0.270 0.530 0.477
O4 O 0.306 0.525 0.123
O5 O 0.407 0.250 0.689
O6 O 0.444 0.250 0.315
```

Top 6 peaks for 10 to 80 degrees two-theta, in order of falling intensity:
- (0 2 0), 23.94°, I = 100
- (1 0 -2), 26.67°, I = 78
- (1 0 1), 20.44°, I = 70
- (1 2 1), 31.68°, I = 50
- (1 2 -2), 36.13°, I = 47
- (1 0 2), 28.36°, I = 42